Computed powder XRD pattern of Pa for CuKα, from DFT lattice parameters and positions (GGA-PBE).
Peak positions follow from Bragg's law for the DFT cell and can differ from measured ones.

Structure:
Cell lengths 3.2244, 3.2244, 11.1229 Å; angles 90.00, 90.00, 120.00 degrees
Fractional coordinates of all 4 atoms:
Pa: 0.0000 0.0000 0.0000
Pa: 0.0000 0.0000 0.5000
Pa: 0.3333 0.6667 0.2500
Pa: 0.6667 0.3333 0.7500

Most intense lines, 2θ = 10–80°, sorted by position:
32.1°, d 2.792, rel. 7.5, (1 0 0)
32.2°, d 2.781, rel. 39.7, (0 0 4)
33.1°, d 2.708, rel. 41.6, (1 0 1)
36.0°, d 2.495, rel. 100.0, (1 0 2)
40.4°, d 2.231, rel. 24.3, (1 0 3)
52.6°, d 1.740, rel. 11.6, (1 0 5)
57.1°, d 1.612, rel. 24.2, (1 1 0)
59.9°, d 1.544, rel. 23.7, (1 0 6)
67.1°, d 1.395, rel. 31.2, (1 1 4)
69.4°, d 1.354, rel. 15.4, (2 0 2)